Diffraction record for CaHg3. The powder diffraction line list is simulated, not measured: it uses DFT lattice parameters and positions (PBE) and CuKα.
Neutral-atom scattering factors, no anomalous dispersion.

Main lines, by intensity (10° ≤ 2θ ≤ 80°):
hkl  Position (°2θ)  d/Å  I_rel
2 2 1  35.7  2.515  1000
0 0 2  34.4  2.604  943
4 0 2  67.7  1.384  269
2 2 0  31.2  2.871  250
2 6 2  65.3  1.428  235
2 6 0  53.7  1.707  216
2 2 3  62.4  1.487  200
1 1 1  23.0  3.861  164
2 2 2  47.1  1.930  162
0 4 0  29.8  3.002  126

Structure:
```
data_CaHg3
_space_group_name_H-M_alt 'C m c m'
_space_group_IT_number 63
_space_group_name_Hall '-C 2c 2'
_cell_length_a 6.538
_cell_length_b 12.009
_cell_length_c 5.216
_cell_angle_alpha 90.00
_cell_angle_beta 90.00
_cell_angle_gamma 90.00
loop_
_atom_site_label
_atom_site_fract_x
_atom_site_fract_y
_atom_site_fract_z
Ca1 0.000 0.167 0.250
Hg1 0.000 0.334 0.750
Hg2 0.246 0.419 0.250
```

Diffraction record for CaLaHg2. The powder diffraction line list is simulated, not measured: it uses DFT lattice parameters and positions (PBE) and CuKα.
Neutral-atom scattering factors, no anomalous dispersion.

Main lines, by intensity (10° ≤ 2θ ≤ 80°):
hkl  Position (°2θ)  d/Å  I_rel
2 2 0  32.8  2.730  1000
4 2 2  58.6  1.576  383
4 0 0  47.1  1.931  184
2 0 0  23.0  3.861  168
6 2 0  78.3  1.221  167
4 4 0  68.8  1.365  119
4 2 0  53.0  1.727  80
1 1 1  19.9  4.458  59
2 2 2  40.5  2.229  57
6 0 0  73.6  1.287  41

Structure:
```
data_CaLaHg2
_space_group_name_H-M_alt 'F m -3 m'
_space_group_IT_number 225
_space_group_name_Hall '-F 4 2 3'
_cell_length_a 7.722
_cell_length_b 7.722
_cell_length_c 7.722
_cell_angle_alpha 90.00
_cell_angle_beta 90.00
_cell_angle_gamma 90.00
loop_
_atom_site_label
_atom_site_fract_x
_atom_site_fract_y
_atom_site_fract_z
Ca1 0.000 0.000 0.000
La1 0.000 0.000 0.500
Hg1 0.250 0.250 0.250
```

Diffraction record for CaLuHg2. The powder diffraction line list is simulated, not measured: it uses DFT lattice parameters and positions (PBE) and CuKα.
Neutral-atom scattering factors, no anomalous dispersion.

Main lines, by intensity (10° ≤ 2θ ≤ 80°):
hkl  Position (°2θ)  d/Å  I_rel
2 2 0  34.2  2.619  1000
4 2 2  61.3  1.512  376
4 0 0  49.2  1.852  181
4 4 0  72.1  1.309  117
2 0 0  24.0  3.703  106
1 1 1  20.8  4.276  101
3 1 1  40.4  2.233  58
4 2 0  55.5  1.656  49
2 2 2  42.3  2.138  35
3 3 1  54.0  1.699  26

Structure:
```
data_CaLuHg2
_space_group_name_H-M_alt 'F m -3 m'
_space_group_IT_number 225
_space_group_name_Hall '-F 4 2 3'
_cell_length_a 7.407
_cell_length_b 7.407
_cell_length_c 7.407
_cell_angle_alpha 90.00
_cell_angle_beta 90.00
_cell_angle_gamma 90.00
loop_
_atom_site_label
_atom_site_fract_x
_atom_site_fract_y
_atom_site_fract_z
Ca1 0.000 0.000 0.000
Lu1 0.000 0.000 0.500
Hg1 0.250 0.250 0.250
```

Diffraction record for CaNdHg2. The powder diffraction line list is simulated, not measured: it uses DFT lattice parameters and positions (PBE) and CuKα.
Neutral-atom scattering factors, no anomalous dispersion.

Main lines, by intensity (10° ≤ 2θ ≤ 80°):
hkl  Position (°2θ)  d/Å  I_rel
2 2 0  33.2  2.696  1000
4 2 2  59.4  1.557  381
4 0 0  47.7  1.907  183
6 2 0  79.5  1.206  167
2 0 0  23.3  3.813  153
4 4 0  69.8  1.348  118
4 2 0  53.8  1.705  73
1 1 1  20.2  4.403  68
2 2 2  41.0  2.202  51
3 1 1  39.2  2.299  39

Structure:
```
data_CaNdHg2
_space_group_name_H-M_alt 'F m -3 m'
_space_group_IT_number 225
_space_group_name_Hall '-F 4 2 3'
_cell_length_a 7.626
_cell_length_b 7.626
_cell_length_c 7.626
_cell_angle_alpha 90.00
_cell_angle_beta 90.00
_cell_angle_gamma 90.00
loop_
_atom_site_label
_atom_site_fract_x
_atom_site_fract_y
_atom_site_fract_z
Ca1 0.000 0.000 0.000
Nd1 0.000 0.000 0.500
Hg1 0.250 0.250 0.250
```

Copy entry 1 word for word.
Diffraction record for CaHg3. The powder diffraction line list is simulated, not measured: it uses DFT lattice parameters and positions (PBE) and CuKα.
Neutral-atom scattering factors, no anomalous dispersion.

Main lines, by intensity (10° ≤ 2θ ≤ 80°):
hkl  Position (°2θ)  d/Å  I_rel
2 2 1  35.7  2.515  1000
0 0 2  34.4  2.604  943
4 0 2  67.7  1.384  269
2 2 0  31.2  2.871  250
2 6 2  65.3  1.428  235
2 6 0  53.7  1.707  216
2 2 3  62.4  1.487  200
1 1 1  23.0  3.861  164
2 2 2  47.1  1.930  162
0 4 0  29.8  3.002  126

Structure:
```
data_CaHg3
_space_group_name_H-M_alt 'C m c m'
_space_group_IT_number 63
_space_group_name_Hall '-C 2c 2'
_cell_length_a 6.538
_cell_length_b 12.009
_cell_length_c 5.216
_cell_angle_alpha 90.00
_cell_angle_beta 90.00
_cell_angle_gamma 90.00
loop_
_atom_site_label
_atom_site_fract_x
_atom_site_fract_y
_atom_site_fract_z
Ca1 0.000 0.167 0.250
Hg1 0.000 0.334 0.750
Hg2 0.246 0.419 0.250
```